Calculated powder X-ray diffraction pattern of CsRb3Os2O8 for Cu Kα X-rays, from a DFT-relaxed cell (GGA-PBE, Alexandria).
No peak broadening, texture or thermal motion is included.

Structure:
```
data_CsRb3Os2O8
_symmetry_space_group_name_H-M 'P -3 m 1'
_symmetry_Int_Tables_number 164
_symmetry_space_group_name_Hall '-P 3 2"'
_cell_length_a 6.5259
_cell_length_b 6.5259
_cell_length_c 8.9669
_cell_angle_alpha 90.00
_cell_angle_beta 90.00
_cell_angle_gamma 120.00
loop_
_atom_site_label
_atom_site_type_symbol
_atom_site_fract_x
_atom_site_fract_y
_atom_site_fract_z
_atom_site_occupancy
Cs1 Cs 0.0000 0.0000 0.0000 1
Rb1 Rb 0.0000 0.0000 0.5000 1
Rb2 Rb 0.3333 0.6667 0.1964 1
Os1 Os 0.3333 0.6667 0.6922 1
O1 O 0.1839 0.3679 0.7688 1
O2 O 0.3333 0.6667 0.4923 1
```

Most intense lines, 2θ from 10° to 80°, low angle first:
- 18.56 deg, rel. 40, (1 0 1)
- 25.36 deg, rel. 100, (0 1 2)
- 27.33 deg, rel. 98, (1 1 0)
- 37.63 deg, rel. 44, (2 0 2)
- 43.43 deg, rel. 22, (1 0 4)
- 47.13 deg, rel. 35, (1 2 2)
- 48.31 deg, rel. 20, (3 0 0)
- 56.40 deg, rel. 16, (2 2 0)
- 59.80 deg, rel. 19, (2 1 4)
- 62.80 deg, rel. 17, (3 1 2)

---

Calculated powder X-ray diffraction pattern of CsTbOs2O8 for Cu Kα X-rays, from a DFT-relaxed cell (GGA-PBE, Alexandria).
No peak broadening, texture or thermal motion is included.

Structure:
```
data_CsTbOs2O8
_symmetry_space_group_name_H-M 'P -3'
_symmetry_Int_Tables_number 147
_cell_length_a 6.0429
_cell_length_b 6.0429
_cell_length_c 8.5100
_cell_angle_alpha 90.00
_cell_angle_beta 90.00
_cell_angle_gamma 120.00
loop_
_symmetry_equiv_pos_as_xyz
'x,y,z'
'-x,-y,-z'
'-y,x-y,z'
'y,-x+y,-z'
'-x+y,-x,z'
'x-y,x,-z'
loop_
_atom_site_label
_atom_site_type_symbol
_atom_site_fract_x
_atom_site_fract_y
_atom_site_fract_z
_atom_site_occupancy
Cs1 Cs 0.0000 0.0000 0.0000 1
Tb1 Tb 0.0000 0.0000 0.5000 1
Os1 Os 0.3333 0.6667 0.7364 1
O1 O 0.1521 0.3406 0.6634 1
O2 O 0.3333 0.6667 0.9445 1
```

Most intense lines, 2θ from 10° to 80°, low angle first:
- 19.92 deg, rel. 100, (0 1 1)
- 27.01 deg, rel. 76, (0 1 2)
- 29.56 deg, rel. 63, (1 1 0)
- 35.91 deg, rel. 12, (2 0 1)
- 36.01 deg, rel. 15, (1 0 3)
- 40.47 deg, rel. 29, (0 2 2)
- 47.20 deg, rel. 28, (0 2 3)
- 50.91 deg, rel. 27, (3 -2 2)
- 52.45 deg, rel. 13, (3 0 0)
- 52.61 deg, rel. 26, (1 1 4)

---

Calculated powder X-ray diffraction pattern of Cs2TlOs3O12 for Cu Kα X-rays, from a DFT-relaxed cell (GGA-PBE, Alexandria).
No peak broadening, texture or thermal motion is included.

Structure:
```
data_Cs2TlOs3O12
_symmetry_space_group_name_H-M 'R -3 m'
_symmetry_Int_Tables_number 166
_symmetry_space_group_name_Hall '-R 3 2"'
_cell_length_a 7.3849
_cell_length_b 7.3849
_cell_length_c 19.2097
_cell_angle_alpha 90.00
_cell_angle_beta 90.00
_cell_angle_gamma 120.00
loop_
_atom_site_label
_atom_site_type_symbol
_atom_site_fract_x
_atom_site_fract_y
_atom_site_fract_z
_atom_site_occupancy
Cs1 Cs 0.0000 0.0000 0.1094 1
Tl1 Tl 0.0000 0.0000 0.5000 1
Os1 Os 0.0000 0.5000 0.0000 1
O1 O 0.0545 0.5272 0.9081 1
O2 O 0.0801 0.5401 0.3185 1
```

Most intense lines, 2θ from 10° to 80°, low angle first:
- 13.83 deg, rel. 28, (0 0 3)
- 14.60 deg, rel. 32, (1 0 1)
- 27.07 deg, rel. 57, (0 1 5)
- 27.89 deg, rel. 100, (0 0 6)
- 28.29 deg, rel. 53, (0 2 1)
- 29.44 deg, rel. 82, (2 0 2)
- 44.27 deg, rel. 27, (1 2 5)
- 44.81 deg, rel. 25, (0 3 3)
- 47.34 deg, rel. 27, (2 0 8)
- 49.36 deg, rel. 41, (2 2 0)

---

Calculated powder X-ray diffraction pattern of Cs2ZrOsO6 for Cu Kα X-rays, from a DFT-relaxed cell (GGA-PBE, Alexandria).
No peak broadening, texture or thermal motion is included.

Structure:
```
data_Cs2ZrOsO6
_symmetry_space_group_name_H-M 'F m m 2'
_symmetry_Int_Tables_number 42
_symmetry_space_group_name_Hall 'F 2 -2'
_cell_length_a 7.538
_cell_length_b 8.060
_cell_length_c 12.515
_cell_angle_alpha 90.00
_cell_angle_beta 90.00
_cell_angle_gamma 90.00
loop_
_atom_site_label
_atom_site_type_symbol
_atom_site_fract_x
_atom_site_fract_y
_atom_site_fract_z
_atom_site_occupancy
Cs1 Cs 0.250 0.250 0.000 1
Zr1 Zr 0.000 0.000 0.254 1
Os1 Os 0.000 0.000 0.746 1
O1 O 0.000 0.000 0.405 1
O2 O 0.000 0.000 0.889 1
O3 O 0.000 0.243 0.733 1
O4 O 0.229 0.000 0.690 1
```

Most intense lines, 2θ from 10° to 80°, low angle first:
- 17.60 deg, rel. 18, (1 1 1)
- 26.30 deg, rel. 100, (0 2 2)
- 27.63 deg, rel. 95, (2 0 2)
- 28.53 deg, rel. 45, (0 0 4)
- 32.53 deg, rel. 54, (2 2 0)
- 43.80 deg, rel. 43, (2 2 4)
- 49.18 deg, rel. 17, (0 2 6)
- 49.97 deg, rel. 23, (2 0 6)
- 53.61 deg, rel. 30, (2 4 2)
- 55.83 deg, rel. 25, (4 2 2)

---

Calculated powder X-ray diffraction pattern of Cs3PO4 for Cu Kα X-rays, from a DFT-relaxed cell (GGA-PBE, Alexandria).
No peak broadening, texture or thermal motion is included.

Structure:
```
data_Cs3PO4
_symmetry_space_group_name_H-M 'P n m a'
_symmetry_Int_Tables_number 62
_cell_length_a 8.340
_cell_length_b 10.479
_cell_length_c 8.298
_cell_angle_alpha 90.00
_cell_angle_beta 90.00
_cell_angle_gamma 90.00
loop_
_symmetry_equiv_pos_as_xyz
'x,y,z'
'-x,-y,-z'
'-x+1/2,-y,z+1/2'
'x+1/2,y,-z+1/2'
'x+1/2,-y+1/2,-z+1/2'
'-x+1/2,y+1/2,z+1/2'
'-x,y+1/2,-z'
'x,-y+1/2,z'
loop_
_atom_site_label
_atom_site_type_symbol
_atom_site_fract_x
_atom_site_fract_y
_atom_site_fract_z
_atom_site_occupancy
Cs1 Cs 0.024 0.043 0.228 1
Cs2 Cs 0.200 0.750 0.413 1
P1 P 0.234 0.750 0.992 1
O1 O 0.056 0.750 0.053 1
O2 O 0.179 0.127 0.555 1
O3 O 0.236 0.750 0.802 1
```

Most intense lines, 2θ from 10° to 80°, low angle first:
- 23.91 deg, rel. 12, (2 0 1)
- 25.39 deg, rel. 15, (2 1 1)
- 27.37 deg, rel. 100, (2 2 0)
- 27.71 deg, rel. 24, (0 3 1)
- 29.47 deg, rel. 13, (1 2 2)
- 30.39 deg, rel. 34, (2 0 2)
- 33.49 deg, rel. 22, (0 1 3)
- 34.21 deg, rel. 12, (0 4 0)
- 47.25 deg, rel. 13, (2 3 3)
- 49.92 deg, rel. 13, (2 5 1)

---

Calculated powder X-ray diffraction pattern of Cs3PO4 for Cu Kα X-rays, from a DFT-relaxed cell (GGA-PBE, Alexandria).
No peak broadening, texture or thermal motion is included.

Structure:
```
data_Cs3PO4
_symmetry_space_group_name_H-M 'P n m a'
_symmetry_Int_Tables_number 62
_cell_length_a 12.377
_cell_length_b 9.066
_cell_length_c 6.581
_cell_angle_alpha 90.00
_cell_angle_beta 90.00
_cell_angle_gamma 90.00
loop_
_symmetry_equiv_pos_as_xyz
'x,y,z'
'-x,-y,-z'
'-x+1/2,-y,z+1/2'
'x+1/2,y,-z+1/2'
'x+1/2,-y+1/2,-z+1/2'
'-x+1/2,y+1/2,z+1/2'
'-x,y+1/2,-z'
'x,-y+1/2,z'
loop_
_atom_site_label
_atom_site_type_symbol
_atom_site_fract_x
_atom_site_fract_y
_atom_site_fract_z
_atom_site_occupancy
Cs1 Cs 0.073 0.250 0.137 1
Cs2 Cs 0.146 0.010 0.682 1
P1 P 0.114 0.750 0.278 1
O1 O 0.017 0.750 0.433 1
O2 O 0.107 0.608 0.142 1
O3 O 0.223 0.750 0.401 1
```

Most intense lines, 2θ from 10° to 80°, low angle first:
- 24.34 deg, rel. 14, (2 2 0)
- 24.91 deg, rel. 15, (1 2 1)
- 27.91 deg, rel. 100, (2 2 1)
- 28.06 deg, rel. 19, (1 0 2)
- 28.85 deg, rel. 17, (4 0 0)
- 29.77 deg, rel. 13, (1 1 2)
- 31.96 deg, rel. 17, (4 0 1)
- 34.88 deg, rel. 13, (3 0 2)
- 39.77 deg, rel. 15, (0 4 0)
- 50.33 deg, rel. 13, (5 2 2)